Simulated powder diffraction line list of CsK2Ag3Sb2 for copper Kα, from a structure optimized by DFT (GGA-PBE).
No peak broadening, texture or thermal motion is included.

Structural model:
Lattice parameters (Å, degrees): 8.464 8.464 8.464 43.90 43.90 43.90
Atoms (fractional coordinates):
Cs: 0.000 0.000 0.000
K: 0.414 0.414 0.414
K: 0.586 0.586 0.586
Ag: 0.000 0.000 0.500
Ag: 0.000 0.500 0.000
Ag: 0.500 0.000 0.000
Sb: 0.255 0.255 0.255
Sb: 0.745 0.745 0.745

The 12 most intense peaks (15 to 90 degrees two-theta), most intense first:
- 2θ 36.35, I = 100
- 2θ 45.83, I = 58
- 2θ 30.59, I = 54
- 2θ 28.21, I = 53
- 2θ 17.95, I = 46
- 2θ 25.34, I = 46
- 2θ 31.85, I = 44
- 2θ 16.64, I = 41
- 2θ 36.90, I = 40
- 2θ 22.46, I = 35
- 2θ 58.34, I = 34
- 2θ 78.54, I = 27